Calculated X-ray powder pattern of LuCo2Ge2 for Cu Kα, from a cell relaxed with GGA-PBE.
Intensities are scaled so that the largest is 100.

Most intense lines, 2θ from 10° to 80°, in order of rising 2θ:
| d [Å] | 2θ (°) | I/Imax |
| --- | --- | --- |
| 2.777 | 32.2 | 32 |
| 2.547 | 35.2 | 100 |
| 2.430 | 37.0 | 96 |
| 1.964 | 46.2 | 58 |
| 1.788 | 51.1 | 33 |
| 1.555 | 59.4 | 44 |
| 1.322 | 71.4 | 25 |
| 1.205 | 79.5 | 20 |

Structure:
```
LuCo2Ge2
1.0
-1.9635 1.9635 5.0190
1.9635 -1.9635 5.0190
1.9635 1.9635 -5.0190
Lu Co Ge
1 2 2
direct
0.0000 0.0000 0.0000
0.2500 0.7500 0.5000
0.7500 0.2500 0.5000
0.3740 0.3740 0.0000
0.6260 0.6260 0.0000
```